Calculated X-ray diffraction stick pattern
Compound: Li2FeW2O8
Radiation: Cu Kα (weighted mean of Kα1 and Kα2)
Structure: a cell relaxed with GGA+U

Crystal structure
a = 5.055 Å, b = 5.734 Å, c = 5.988 Å
α = 70.61°, β = 88.56°, γ = 64.12°
Space group P-1 (No. 2)
Unique sites:
Li 0.043 0.413 0.248
Fe 0.500 0.500 0.500
W 0.267 0.977 0.839
O 0.167 0.779 0.164
O 0.243 0.751 0.697
O 0.273 0.259 0.577
O 0.320 0.217 0.043

The 6 most intense peaks (2θ from 10° to 90°), sorted by position:
(0 1 0), 2θ 18.41, intensity 1000; (0 1 1), 2θ 19.56, intensity 460; (1 0 -1), 2θ 23.55, intensity 483; (1 0 1), 2θ 27.13, intensity 559; (1 1 -1), 2θ 27.90, intensity 534; (-1 1 1), 2θ 32.06, intensity 911